The following is a calculated powder diffractogram of BaCaZrWO6. It was derived from a structure optimized by DFT (GGA+U), using Cu Kα (λ = 1.5418 Å).
Neutral-atom scattering factors, no anomalous dispersion.

The 10 most intense peaks (2θ = 10–80°), low angle first:
2θ (°)  Rel. int.
18.48  20
21.37  13
30.41  100
35.82  12
43.54  32
48.99  5
54.03  40
63.27  19
71.80  17
79.94  6

Structural model:
a b c (Å): 5.880 5.880 5.880
angles (deg): 60.00 60.00 60.00
Fractional positions:
Ba 0.000 0.000 0.000
Ca 0.500 0.500 0.500
Zr 0.750 0.750 0.750
W 0.250 0.250 0.250
O 0.003 0.003 0.497
O 0.003 0.497 0.003
O 0.003 0.497 0.497
O 0.497 0.003 0.003
O 0.497 0.003 0.497
O 0.497 0.497 0.003